No. 1
This entry pairs a crystal structure of Ac2AgHg8 with its computed X-ray powder pattern. Radiation: Cu Kα (weighted mean of Kα1 and Kα2). Structure: DFT lattice parameters and positions (PBE).

Structural model:
Lattice parameters (Å, degrees): 9.022 9.022 7.619 114.93 114.93 32.62
Fractional positions:
1 Ac 0.213 0.213 0.213
2 Ac 0.787 0.787 0.787
3 Ag 0.500 0.500 0.500
4 Hg 0.000 0.000 0.207
5 Hg 0.000 0.000 0.793
6 Hg 0.142 0.142 0.642
7 Hg 0.379 0.379 0.666
8 Hg 0.380 0.380 0.092
9 Hg 0.620 0.620 0.908
10 Hg 0.621 0.621 0.334
11 Hg 0.858 0.858 0.358

Most intense lines, 10° ≤ 2θ ≤ 90°, in order of rising 2θ:
26.04 deg, d = 3.421 Å, I 23.0; 31.28 deg, d = 2.860 Å, I 55.9; 33.80 deg, d = 2.652 Å, I 32.1; 34.15 deg, d = 2.626 Å, I 100.0; 35.43 deg, d = 2.533 Å, I 43.7; 35.83 deg, d = 2.506 Å, I 15.8; 47.76 deg, d = 1.904 Å, I 12.8; 62.79 deg, d = 1.480 Å, I 17.6; 67.05 deg, d = 1.396 Å, I 14.0; 68.70 deg, d = 1.366 Å, I 19.6


No. 2
This entry pairs a crystal structure of Tb6PrY12 with its computed X-ray powder pattern. Radiation: Cu Kα (weighted mean of Kα1 and Kα2). Structure: DFT lattice parameters and positions (PBE).

Structural model:
Lattice parameters (Å, degrees): 9.456 9.456 9.456 110.91 110.91 110.91
Fractional positions:
1 Tb 0.052 0.578 0.368
2 Tb 0.368 0.052 0.578
3 Tb 0.422 0.632 0.948
4 Tb 0.578 0.368 0.052
5 Tb 0.632 0.948 0.422
6 Tb 0.948 0.422 0.632
7 Pr 0.000 0.000 0.000
8 Y 0.107 0.159 0.737
9 Y 0.159 0.737 0.107
10 Y 0.211 0.317 0.475
11 Y 0.263 0.893 0.841
12 Y 0.317 0.475 0.211
13 Y 0.475 0.211 0.317
14 Y 0.525 0.789 0.683
15 Y 0.683 0.525 0.789
16 Y 0.737 0.107 0.159
17 Y 0.789 0.683 0.525
18 Y 0.841 0.263 0.893
19 Y 0.893 0.841 0.263

Most intense lines, 10° ≤ 2θ ≤ 90°, in order of rising 2θ:
16.59 deg, d = 5.344 Å, I 3.2; 30.63 deg, d = 2.919 Å, I 100.0; 35.52 deg, d = 2.528 Å, I 50.3; 51.10 deg, d = 1.787 Å, I 35.2; 60.77 deg, d = 1.524 Å, I 41.6; 63.78 deg, d = 1.459 Å, I 12.0; 75.18 deg, d = 1.264 Å, I 5.5; 83.28 deg, d = 1.160 Å, I 4.2; 83.34 deg, d = 1.160 Å, I 12.7; 86.00 deg, d = 1.130 Å, I 15.8


No. 3
This entry pairs a crystal structure of PuPdAu3 with its computed X-ray powder pattern. Radiation: Cu Kα (weighted mean of Kα1 and Kα2). Structure: DFT lattice parameters and positions (PBE).

Structural model:
Lattice parameters (Å, degrees): 8.263 8.263 5.594 93.03 93.03 32.50
Fractional positions:
1 Pu 0.000 0.000 0.000
2 Pu 0.714 0.714 0.360
3 Pd 0.195 0.195 0.981
4 Pd 0.519 0.519 0.379
5 Au 0.105 0.105 0.517
6 Au 0.357 0.357 0.180
7 Au 0.357 0.357 0.679
8 Au 0.610 0.610 0.843
9 Au 0.798 0.798 0.890
10 Au 0.917 0.917 0.470

Most intense lines, 10° ≤ 2θ ≤ 90°, in order of rising 2θ:
25.61 deg, d = 3.479 Å, I 20.1; 28.33 deg, d = 3.150 Å, I 25.9; 34.31 deg, d = 2.614 Å, I 21.5; 34.64 deg, d = 2.589 Å, I 17.0; 36.84 deg, d = 2.439 Å, I 23.9; 37.32 deg, d = 2.410 Å, I 60.6; 37.79 deg, d = 2.380 Å, I 100.0; 38.69 deg, d = 2.327 Å, I 65.6; 38.95 deg, d = 2.312 Å, I 60.7; 69.81 deg, d = 1.347 Å, I 24.3


No. 4
This entry pairs a crystal structure of Li3TlPd5 with its computed X-ray powder pattern. Radiation: Cu Kα (weighted mean of Kα1 and Kα2). Structure: DFT lattice parameters and positions (PBE).

Structural model:
Lattice parameters (Å, degrees): 8.894 8.894 8.894 141.03 141.03 56.29
Fractional positions:
1 Li 0.120 0.620 0.740
2 Li 0.250 0.250 0.000
3 Li 0.380 0.120 0.500
4 Li 0.620 0.880 0.500
5 Li 0.750 0.750 0.000
6 Li 0.880 0.380 0.260
7 Tl 0.250 0.750 0.500
8 Tl 0.750 0.250 0.500
9 Pd 0.000 0.000 0.000
10 Pd 0.100 0.142 0.500
11 Pd 0.142 0.642 0.042
12 Pd 0.358 0.400 0.500
13 Pd 0.400 0.900 0.042
14 Pd 0.500 0.500 0.000
15 Pd 0.600 0.100 0.958
16 Pd 0.642 0.600 0.500
17 Pd 0.858 0.358 0.958
18 Pd 0.900 0.858 0.500

Most intense lines, 10° ≤ 2θ ≤ 90°, in order of rising 2θ:
24.06 deg, d = 3.699 Å, I 52.8; 38.03 deg, d = 2.366 Å, I 100.0; 40.67 deg, d = 2.219 Å, I 13.3; 43.12 deg, d = 2.098 Å, I 32.7; 46.31 deg, d = 1.961 Å, I 17.1; 49.98 deg, d = 1.825 Å, I 15.7; 65.12 deg, d = 1.432 Å, I 20.2; 75.68 deg, d = 1.257 Å, I 22.9; 80.26 deg, d = 1.196 Å, I 10.6; 81.34 deg, d = 1.183 Å, I 10.6